Diffraction record for Li4Ti3Mn2Sn3O16. The XRD peak list is theoretical, not measured: it uses a structure optimized by DFT (GGA+U) and copper Kα.
No peak broadening, texture or thermal motion is included.

Peak list (8 most intense, 10° ≤ 2θ ≤ 90°, low angle first)
(0 0 2), 17.65 deg, I = 100; (0 1 -1), 18.78 deg, I = 63; (1 1 -1), 18.91 deg, I = 25; (1 1 2), 24.29 deg, I = 33; (1 1 3), 31.49 deg, I = 35; (2 0 1), 34.65 deg, I = 38; (2 2 -1), 34.88 deg, I = 28; (2 2 3), 43.30 deg, I = 44

```
data_Li4Ti3Mn2Sn3O16
_chemical_formula_sum 'Li4 Ti3 Mn2 Sn3 O16'
_cell_length_a 6.150
_cell_length_b 6.166
_cell_length_c 10.050
_cell_angle_alpha 89.72
_cell_angle_beta 89.78
_cell_angle_gamma 60.42
_space_group_name_H-M_alt 'P 1'
_space_group_IT_number 1
loop_
_space_group_symop_operation_xyz
'x,y,z'
loop_
_atom_site_label
_atom_site_type_symbol
_atom_site_fract_x
_atom_site_fract_y
_atom_site_fract_z
Li1 Li 0.000 0.000 0.000
Li2 Li 0.001 0.980 0.494
Li3 Li 0.350 0.331 0.891
Li4 Li 0.691 0.677 0.391
Ti1 Ti 0.142 0.678 0.204
Ti2 Ti 0.660 0.217 0.229
Ti3 Ti 0.847 0.824 0.722
Mn1 Mn 0.349 0.335 0.498
Mn2 Mn 0.674 0.660 0.998
Sn1 Sn 0.196 0.158 0.215
Sn2 Sn 0.351 0.829 0.712
Sn3 Sn 0.843 0.333 0.710
O1 O 0.004 0.992 0.312
O2 O 0.009 0.992 0.818
O3 O 0.056 0.488 0.328
O4 O 0.158 0.684 0.606
O5 O 0.166 0.148 0.596
O6 O 0.319 0.836 0.104
O7 O 0.362 0.344 0.108
O8 O 0.515 0.035 0.328
O9 O 0.517 0.485 0.332
O10 O 0.529 0.512 0.832
O11 O 0.541 0.965 0.828
O12 O 0.687 0.670 0.600
O13 O 0.701 0.139 0.605
O14 O 0.858 0.304 0.107
O15 O 0.871 0.817 0.100
O16 O 0.984 0.520 0.825
```